This entry pairs a crystal structure of Ba6Sr3Ca2 with its calculated powder diffraction line list. Radiation: copper Kα. Structure: a GGA-PBE-relaxed structure.
Intensities are scaled so that the largest is 100.

Largest 10 diffraction maxima, most intense first, 10 to 90 degrees two-theta:
25.33 deg, 3.517 Å, rel. 100; 25.52 deg, 3.491 Å, rel. 93; 24.99 deg, 3.563 Å, rel. 93; 26.68 deg, 3.341 Å, rel. 87; 28.42 deg, 3.140 Å, rel. 79; 25.66 deg, 3.471 Å, rel. 76; 43.31 deg, 2.089 Å, rel. 35; 39.05 deg, 2.307 Å, rel. 35; 32.74 deg, 2.735 Å, rel. 31; 39.70 deg, 2.270 Å, rel. 29

Cell and atoms:
```
data_Ba6Sr3Ca2
_chemical_formula_sum 'Ba12 Sr6 Ca4'
_cell_length_a 20.4970
_cell_length_b 4.1768
_cell_length_c 14.7581
_cell_angle_alpha 90.00
_cell_angle_beta 91.03
_cell_angle_gamma 90.00
_space_group_name_H-M_alt 'C 1 2/m 1'
_space_group_IT_number 12
_space_group_name_Hall '-C 2y'
loop_
_atom_site_label
_atom_site_fract_x
_atom_site_fract_y
_atom_site_fract_z
Ba1 0.0503 0.0000 0.2707
Ba2 0.1360 0.5000 0.8025
Ba3 0.2213 0.5000 0.3762
Sr1 0.0000 0.0000 0.0000
Sr2 0.1831 0.5000 0.0877
Ca1 0.0903 0.0000 0.5457
```

***

This entry pairs a crystal structure of CeY4S4 with its calculated powder diffraction line list. Radiation: copper Kα. Structure: a GGA-PBE-relaxed structure.
Intensities are scaled so that the largest is 100.

Largest 10 diffraction maxima, most intense first, 10 to 90 degrees two-theta:
46.39 deg, 1.957 Å, rel. 100; 27.91 deg, 3.196 Å, rel. 97; 32.30 deg, 2.772 Å, rel. 96; 32.43 deg, 2.761 Å, rel. 47; 57.68 deg, 1.598 Å, rel. 34; 54.95 deg, 1.671 Å, rel. 30; 76.95 deg, 1.239 Å, rel. 28; 85.96 deg, 1.131 Å, rel. 22; 55.13 deg, 1.666 Å, rel. 15; 77.20 deg, 1.236 Å, rel. 14

Cell and atoms:
```
data_CeY4S4
_chemical_formula_sum 'Ce2 Y8 S8'
_cell_length_a 8.7651
_cell_length_b 8.7651
_cell_length_c 5.5216
_cell_angle_alpha 90.00
_cell_angle_beta 90.00
_cell_angle_gamma 90.00
_space_group_name_H-M_alt 'I 4/m'
_space_group_IT_number 87
_space_group_name_Hall '-I 4'
loop_
_atom_site_label
_atom_site_fract_x
_atom_site_fract_y
_atom_site_fract_z
Ce1 0.0000 0.0000 0.0000
Y1 0.1038 0.3023 0.5000
S1 0.0999 0.3053 0.0000
```

***

This entry pairs a crystal structure of Tb3SmAl4 with its calculated powder diffraction line list. Radiation: copper Kα. Structure: a GGA-PBE-relaxed structure.
Intensities are scaled so that the largest is 100.

Largest 10 diffraction maxima, most intense first, 10 to 90 degrees two-theta:
34.92 deg, 2.569 Å, rel. 100; 24.54 deg, 3.628 Å, rel. 40; 62.68 deg, 1.482 Å, rel. 24; 24.43 deg, 3.644 Å, rel. 20; 43.12 deg, 2.098 Å, rel. 19; 56.71 deg, 1.623 Å, rel. 17; 62.53 deg, 1.485 Å, rel. 12; 50.30 deg, 1.814 Å, rel. 12; 84.41 deg, 1.148 Å, rel. 11; 56.52 deg, 1.628 Å, rel. 8

Cell and atoms:
```
data_Tb3SmAl4
_chemical_formula_sum 'Tb6 Sm2 Al8'
_cell_length_a 10.2608
_cell_length_b 7.2878
_cell_length_c 5.1316
_cell_angle_alpha 90.00
_cell_angle_beta 90.00
_cell_angle_gamma 90.00
_space_group_name_H-M_alt 'P m m a'
_space_group_IT_number 51
_space_group_name_Hall '-P 2a 2a'
loop_
_atom_site_label
_atom_site_fract_x
_atom_site_fract_y
_atom_site_fract_z
Tb1 0.0000 0.0000 0.0000
Tb2 0.2500 0.0000 0.4992
Tb3 0.2500 0.5000 0.4992
Sm1 0.0000 0.5000 0.0000
Al1 0.0000 0.2463 0.5000
Al2 0.2500 0.2463 0.9988
```

***

This entry pairs a crystal structure of ThNi4Sb with its calculated powder diffraction line list. Radiation: copper Kα. Structure: a GGA-PBE-relaxed structure.
Intensities are scaled so that the largest is 100.

Largest 10 diffraction maxima, most intense first, 10 to 90 degrees two-theta:
38.15 deg, 2.359 Å, rel. 100; 44.98 deg, 2.016 Å, rel. 97; 31.73 deg, 2.820 Å, rel. 91; 46.04 deg, 1.972 Å, rel. 37; 66.29 deg, 1.410 Å, rel. 35; 35.62 deg, 2.521 Å, rel. 33; 26.36 deg, 3.381 Å, rel. 23; 38.76 deg, 2.323 Å, rel. 21; 29.86 deg, 2.992 Å, rel. 20; 79.91 deg, 1.200 Å, rel. 20

Cell and atoms:
```
data_ThNi4Sb
_chemical_formula_sum 'Th4 Ni16 Sb4'
_cell_length_a 3.9430
_cell_length_b 16.3889
_cell_length_c 5.9842
_cell_angle_alpha 90.00
_cell_angle_beta 90.00
_cell_angle_gamma 90.00
_space_group_name_H-M_alt 'C m c m'
_space_group_IT_number 63
_space_group_name_Hall '-C 2c 2'
loop_
_atom_site_label
_atom_site_fract_x
_atom_site_fract_y
_atom_site_fract_z
Th1 0.0000 0.0960 0.2500
Ni1 0.0000 0.0714 0.7500
Ni2 0.0000 0.3481 0.0561
Ni3 0.0000 0.5000 0.0000
Sb1 0.0000 0.2347 0.7500
```

***

This entry pairs a crystal structure of CsRb2BaI5 with its calculated powder diffraction line list. Radiation: copper Kα. Structure: a GGA-PBE-relaxed structure.
Intensities are scaled so that the largest is 100.

Largest 10 diffraction maxima, most intense first, 10 to 90 degrees two-theta:
27.09 deg, 3.291 Å, rel. 100; 37.57 deg, 2.394 Å, rel. 53; 19.06 deg, 4.655 Å, rel. 45; 25.54 deg, 3.488 Å, rel. 36; 20.11 deg, 4.416 Å, rel. 28; 38.68 deg, 2.328 Å, rel. 28; 46.93 deg, 1.936 Å, rel. 27; 32.06 deg, 2.791 Å, rel. 22; 69.28 deg, 1.356 Å, rel. 17; 47.87 deg, 1.900 Å, rel. 15

Cell and atoms:
```
data_CsRb2BaI5
_chemical_formula_sum 'Cs1 Rb2 Ba1 I5'
_cell_length_a 6.5838
_cell_length_b 6.5838
_cell_length_c 13.9530
_cell_angle_alpha 90.00
_cell_angle_beta 90.00
_cell_angle_gamma 90.00
_space_group_name_H-M_alt 'P 4/m m m'
_space_group_IT_number 123
_space_group_name_Hall '-P 4 2'
loop_
_atom_site_label
_atom_site_fract_x
_atom_site_fract_y
_atom_site_fract_z
Cs1 0.0000 0.0000 0.0000
Rb1 0.5000 0.5000 0.2806
Ba1 0.0000 0.0000 0.5000
I1 0.0000 0.0000 0.2572
I2 0.0000 0.5000 0.5000
I3 0.5000 0.5000 0.0000
```

***

This entry pairs a crystal structure of La4InBr6 with its calculated powder diffraction line list. Radiation: copper Kα. Structure: a GGA-PBE-relaxed structure.
Intensities are scaled so that the largest is 100.

Largest 10 diffraction maxima, most intense first, 10 to 90 degrees two-theta:
21.10 deg, 4.210 Å, rel. 100; 34.70 deg, 2.585 Å, rel. 96; 35.00 deg, 2.564 Å, rel. 55; 41.22 deg, 2.190 Å, rel. 35; 28.78 deg, 3.102 Å, rel. 30; 50.32 deg, 1.813 Å, rel. 23; 41.69 deg, 2.167 Å, rel. 22; 62.58 deg, 1.484 Å, rel. 21; 31.12 deg, 2.874 Å, rel. 18; 61.60 deg, 1.506 Å, rel. 16

Cell and atoms:
```
data_La4InBr6
_chemical_formula_sum 'La8 In2 Br12'
_cell_length_a 10.2559
_cell_length_b 10.2559
_cell_length_c 7.3747
_cell_angle_alpha 90.00
_cell_angle_beta 90.00
_cell_angle_gamma 90.00
_space_group_name_H-M_alt 'P 42/n m c'
_space_group_IT_number 137
loop_
_space_group_symop_operation_xyz
'x,y,z'
'-x,-y,-z'
'-y+1/2,x,z+1/2'
'y+1/2,-x,-z+1/2'
'-x+1/2,-y+1/2,z'
'x+1/2,y+1/2,-z'
'y,-x+1/2,z+1/2'
'-y,x+1/2,-z+1/2'
'x+1/2,-y,-z'
'-x+1/2,y,z'
'-y,-x,-z+1/2'
'y,x,z+1/2'
'-x,y+1/2,-z'
'x,-y+1/2,z'
'y+1/2,x+1/2,-z+1/2'
'-y+1/2,-x+1/2,z+1/2'
loop_
_atom_site_label
_atom_site_fract_x
_atom_site_fract_y
_atom_site_fract_z
La1 0.0025 0.2500 0.0534
In1 0.2500 0.7500 0.7500
Br1 0.0359 0.5359 0.2500
Br2 0.2500 0.2500 0.2934
```

***

This entry pairs a crystal structure of Tl2Zn2S3 with its calculated powder diffraction line list. Radiation: copper Kα. Structure: a GGA-PBE-relaxed structure.
Intensities are scaled so that the largest is 100.

Largest 10 diffraction maxima, most intense first, 10 to 90 degrees two-theta:
26.22 deg, 3.399 Å, rel. 100; 34.45 deg, 2.603 Å, rel. 69; 31.07 deg, 2.879 Å, rel. 54; 28.11 deg, 3.174 Å, rel. 53; 19.16 deg, 4.631 Å, rel. 23; 12.03 deg, 7.356 Å, rel. 23; 35.91 deg, 2.501 Å, rel. 23; 32.77 deg, 2.733 Å, rel. 23; 26.06 deg, 3.420 Å, rel. 21; 29.05 deg, 3.074 Å, rel. 20

Cell and atoms:
```
data_Tl2Zn2S3
_chemical_formula_sum 'Tl16 Zn16 S24'
_cell_length_a 16.0694
_cell_length_b 13.9029
_cell_length_c 6.7140
_cell_angle_alpha 90.00
_cell_angle_beta 113.71
_cell_angle_gamma 90.00
_space_group_name_H-M_alt 'C 1 2/c 1'
_space_group_IT_number 15
_space_group_name_Hall '-C 2yc'
loop_
_atom_site_label
_atom_site_fract_x
_atom_site_fract_y
_atom_site_fract_z
Tl1 0.0000 0.0658 0.2500
Tl2 0.0000 0.2008 0.7500
Tl3 0.0914 0.4096 0.1212
Zn1 0.1958 0.2199 0.6258
Zn2 0.2316 0.0804 0.1414
S1 0.1193 0.3542 0.6822
S2 0.1521 0.2044 0.2416
S3 0.1875 0.0664 0.7619
```

***

This entry pairs a crystal structure of LiC6N4 with its calculated powder diffraction line list. Radiation: copper Kα. Structure: a GGA-PBE-relaxed structure.
Intensities are scaled so that the largest is 100.

Largest 10 diffraction maxima, most intense first, 10 to 90 degrees two-theta:
25.30 deg, 3.521 Å, rel. 100; 29.11 deg, 3.068 Å, rel. 69; 29.54 deg, 3.024 Å, rel. 64; 16.25 deg, 5.454 Å, rel. 44; 28.90 deg, 3.090 Å, rel. 44; 16.48 deg, 5.378 Å, rel. 42; 23.23 deg, 3.829 Å, rel. 32; 21.74 deg, 4.089 Å, rel. 31; 33.65 deg, 2.664 Å, rel. 28; 19.63 deg, 4.522 Å, rel. 24

Cell and atoms:
```
data_LiC6N4
_chemical_formula_sum 'Li2 C12 N8'
_cell_length_a 5.4851
_cell_length_b 5.4536
_cell_length_c 12.6056
_cell_angle_alpha 90.00
_cell_angle_beta 101.37
_cell_angle_gamma 90.00
_space_group_name_H-M_alt 'P 1 2/c 1'
_space_group_IT_number 13
_space_group_name_Hall '-P 2yc'
loop_
_atom_site_label
_atom_site_fract_x
_atom_site_fract_y
_atom_site_fract_z
Li1 0.0000 0.1167 0.2500
C1 0.3214 0.4221 0.1085
C2 0.3691 0.2684 0.8932
C3 0.4874 0.4611 0.5532
N1 0.1845 0.3236 0.1552
N2 0.2482 0.1087 0.8481
```

***

This entry pairs a crystal structure of ScNiRu with its calculated powder diffraction line list. Radiation: copper Kα. Structure: a GGA-PBE-relaxed structure.
Intensities are scaled so that the largest is 100.

Largest 10 diffraction maxima, most intense first, 10 to 90 degrees two-theta:
42.30 deg, 2.137 Å, rel. 100; 21.67 deg, 4.102 Å, rel. 84; 43.70 deg, 2.072 Å, rel. 72; 44.16 deg, 2.051 Å, rel. 69; 40.99 deg, 2.202 Å, rel. 56; 42.65 deg, 2.120 Å, rel. 50; 74.58 deg, 1.272 Å, rel. 43; 40.87 deg, 2.208 Å, rel. 28; 52.05 deg, 1.757 Å, rel. 23; 69.57 deg, 1.351 Å, rel. 21

Cell and atoms:
```
data_ScNiRu
_chemical_formula_sum 'Sc4 Ni4 Ru4'
_cell_length_a 4.9342
_cell_length_b 5.0063
_cell_length_c 7.3805
_cell_angle_alpha 90.00
_cell_angle_beta 90.00
_cell_angle_gamma 90.00
_space_group_name_H-M_alt 'I m m a'
_space_group_IT_number 74
_space_group_name_Hall '-I 2b 2'
loop_
_atom_site_label
_atom_site_fract_x
_atom_site_fract_y
_atom_site_fract_z
Sc1 0.0000 0.2500 0.1265
Ni1 0.2500 0.2500 0.7500
Ru1 0.0000 0.0000 0.5000
```

***

This entry pairs a crystal structure of Nd12SmHo3 with its calculated powder diffraction line list. Radiation: copper Kα. Structure: a GGA-PBE-relaxed structure.
Intensities are scaled so that the largest is 100.

Largest 10 diffraction maxima, most intense first, 10 to 90 degrees two-theta:
30.02 deg, 2.977 Å, rel. 100; 34.80 deg, 2.578 Å, rel. 51; 50.03 deg, 1.823 Å, rel. 36; 59.41 deg, 1.556 Å, rel. 29; 59.53 deg, 1.553 Å, rel. 14; 62.38 deg, 1.489 Å, rel. 12; 81.37 deg, 1.183 Å, rel. 12; 83.86 deg, 1.154 Å, rel. 11; 81.27 deg, 1.184 Å, rel. 6; 84.04 deg, 1.152 Å, rel. 5

Cell and atoms:
```
data_Nd12SmHo3
_chemical_formula_sum 'Nd12 Sm1 Ho3'
_cell_length_a 5.1608
_cell_length_b 5.1608
_cell_length_c 20.5906
_cell_angle_alpha 90.00
_cell_angle_beta 90.00
_cell_angle_gamma 90.00
_space_group_name_H-M_alt 'P 4/m m m'
_space_group_IT_number 123
_space_group_name_Hall '-P 4 2'
loop_
_atom_site_label
_atom_site_fract_x
_atom_site_fract_y
_atom_site_fract_z
Nd1 0.0000 0.0000 0.0000
Nd2 0.0000 0.0000 0.2487
Nd3 0.0000 0.0000 0.5000
Nd4 0.0000 0.5000 0.1246
Nd5 0.0000 0.5000 0.3737
Sm1 0.5000 0.5000 0.5000
Ho1 0.5000 0.5000 0.0000
Ho2 0.5000 0.5000 0.2490
```

***

This entry pairs a crystal structure of CeIn2PbSe4 with its calculated powder diffraction line list. Radiation: copper Kα. Structure: a GGA-PBE-relaxed structure.
Intensities are scaled so that the largest is 100.

Largest 10 diffraction maxima, most intense first, 10 to 90 degrees two-theta:
28.74 deg, 3.106 Å, rel. 100; 40.50 deg, 2.227 Å, rel. 25; 41.67 deg, 2.168 Å, rel. 24; 51.69 deg, 1.768 Å, rel. 13; 40.19 deg, 2.244 Å, rel. 13; 42.02 deg, 2.150 Å, rel. 12; 59.52 deg, 1.553 Å, rel. 12; 66.57 deg, 1.405 Å, rel. 11; 68.23 deg, 1.374 Å, rel. 11; 25.18 deg, 3.537 Å, rel. 8

Cell and atoms:
```
data_CeIn2PbSe4
_chemical_formula_sum 'Ce1 In2 Pb1 Se4'
_cell_length_a 7.5292
_cell_length_b 4.3007
_cell_length_c 7.8146
_cell_angle_alpha 90.00
_cell_angle_beta 108.38
_cell_angle_gamma 90.00
_space_group_name_H-M_alt 'P 1 2/m 1'
_space_group_IT_number 10
_space_group_name_Hall '-P 2y'
loop_
_atom_site_label
_atom_site_fract_x
_atom_site_fract_y
_atom_site_fract_z
Ce1 0.0000 0.0000 0.0000
In1 0.0000 0.5000 0.5000
In2 0.5000 0.0000 0.5000
Pb1 0.5000 0.5000 0.0000
Se1 0.2221 0.5000 0.2210
Se2 0.2341 0.0000 0.7689
```